This entry pairs a crystal structure of Na6ZnPt2 with its calculated XRD peak list. Radiation: Cu Ka. Structure: a crystal structure in Alexandria, relaxed with GGA-PBE.
Neutral-atom scattering factors, no anomalous dispersion.

The 8 most intense peaks (10° ≤ 2θ ≤ 90°), low angle first:
2θ (°), I (rel.)
18.3, 335
20.6, 1000
21.3, 307
35.6, 702
37.1, 363
39.9, 276
40.4, 280
52.4, 343

Cell: 5.0373 5.0373 29.0868 Å, 90.00 90.00 120.00°
Space group R-3m (No. 166, hexagonal axes)
Unique sites:
Na: 0.0000 0.0000 0.0753 (multiplicity 6)
Na: 0.0000 0.0000 0.2042 (multiplicity 6)
Na: 0.0000 0.0000 0.3105 (multiplicity 6)
Zn: 0.0000 0.0000 0.5000 (multiplicity 3)
Pt: 0.0000 0.0000 0.4151 (multiplicity 6)

This entry pairs a crystal structure of Na2TlInF with its calculated XRD peak list. Radiation: Cu Ka. Structure: a crystal structure in Alexandria, relaxed with GGA-PBE.
Neutral-atom scattering factors, no anomalous dispersion.

The 8 most intense peaks (10° ≤ 2θ ≤ 90°), low angle first:
2θ (°), I (rel.)
15.1, 738
27.8, 487
30.5, 349
31.8, 1000
39.7, 338
41.7, 329
50.9, 337
55.0, 251

Cell: 4.537 4.537 5.870 Å, 90.00 90.00 90.00°
Space group P4/mmm (No. 123)
Unique sites:
Na: 0.000 0.500 0.000 (multiplicity 2)
Tl: 0.000 0.000 0.500 (multiplicity 1)
In: 0.500 0.500 0.500 (multiplicity 1)
F: 0.000 0.000 0.000 (multiplicity 1)